Calculated powder diffractogram
Compound: SiNiN
Radiation: copper Kα
Structure: a PBE-relaxed structure
Neutral-atom scattering factors, no anomalous dispersion.

Principal peaks in the range 2θ = 10–90°, in order of falling intensity:
h k l  2theta  I/Imax
1 1 1  42.97  100
1 1 2  53.65  60
0 0 1  17.51  56
0 2 0  44.79  51
1 1 0  38.91  34
0 0 2  35.45  33
1 0 1  36.46  28
0 1 2  42.09  18
0 0 3  54.34  16
1 3 1  81.30  15
2 2 0  83.55  14
2 0 0  66.26  14

Structural model:
Cell lengths 2.8211, 4.0473, 5.0646 Å; angles 90.00, 90.00, 90.00 degrees
Space group Pmmn (No. 59, origin choice 2)
One atom of each set of equivalent atoms:
Si 0.2500 0.2500 0.1498 (multiplicity 2)
Ni 0.2500 0.7500 0.4708 (multiplicity 2)
N 0.2500 0.7500 0.0747 (multiplicity 2)